Structure and computed X-ray powder pattern of Rb2Mn3Cl10 (DFT lattice parameters and positions (PBE); Cu Ka).

The 10 most intense peaks (10° ≤ 2θ ≤ 90°), by angle:
Position (°2θ)	intensity
21.5	35
21.6	47
22.1	37
23.1	44
30.3	32
31.0	93
32.1	39
33.9	100
50.2	32
50.9	47

abc: 12.1169 12.1169 10.1464
angles: 109.42 109.42 34.89
Atoms (fractional coordinates):
1 Rb 0.1210 0.1210 0.2484
2 Rb 0.2254 0.2254 0.8001
3 Rb 0.7746 0.7746 0.1999
4 Rb 0.8790 0.8790 0.7516
5 Mn 0.2432 0.7568 0.5000
6 Mn 0.3207 0.3207 0.4780
7 Mn 0.4292 0.4292 0.0470
8 Mn 0.5708 0.5708 0.9530
9 Mn 0.6793 0.6793 0.5220
10 Mn 0.7568 0.2432 0.5000
11 Cl 0.0000 0.5000 0.5000
12 Cl 0.0155 0.0155 0.6764
13 Cl 0.1306 0.5928 0.0271
14 Cl 0.1433 0.6347 0.4590
15 Cl 0.2694 0.2694 0.2415
16 Cl 0.2883 0.7117 0.0000
17 Cl 0.3633 0.3633 0.7180
18 Cl 0.3653 0.8567 0.5410
19 Cl 0.4072 0.8694 0.9729
20 Cl 0.4833 0.4833 0.3164
21 Cl 0.5000 0.0000 0.5000
22 Cl 0.5167 0.5167 0.6836
23 Cl 0.5928 0.1306 0.0271
24 Cl 0.6347 0.1433 0.4590
25 Cl 0.6367 0.6367 0.2820
26 Cl 0.7117 0.2883 0.0000
27 Cl 0.7306 0.7306 0.7585
28 Cl 0.8567 0.3653 0.5410
29 Cl 0.8694 0.4072 0.9729
30 Cl 0.9845 0.9845 0.3236